Record 1
This entry pairs a crystal structure of Be5VIr6 with its theoretical X-ray diffraction stick pattern. Radiation: a wavelength of 1.5418 Å. Structure: a DFT-relaxed cell (GGA-PBE, Alexandria).
Neutral-atom scattering factors, no anomalous dispersion.

Structure:
a = 4.0385 Å, b = 5.7370 Å, c = 6.3303 Å
α = 90.00°, β = 108.40°, γ = 90.00°
Space group P2/m (No. 10)
Unique sites:
Be (0.0000, 0.0000, 0.0000) [1 per cell]
Be (0.3332, 0.5000, 0.6695) [2 per cell]
Be (0.3347, 0.0000, 0.6731) [2 per cell]
V (0.0000, 0.5000, 0.0000) [1 per cell]
Ir (0.1714, 0.2455, 0.3405) [4 per cell]
Ir (0.5000, 0.2402, 0.0000) [2 per cell]

Most intense lines, 2θ = 10–80°, low angle first:
hkl  2θ/deg  d (Å)  intensity
0 2 0  31.18  2.868  40
1 0 1  31.41  2.848  40
1 0 -2  31.52  2.839  40
2 0 -1  44.89  2.019  100
0 0 3  45.29  2.002  19
2 2 -1  55.67  1.651  16
0 2 3  56.01  1.642  16
1 4 1  74.03  1.281  14
3 0 -3  74.39  1.275  10
2 2 -4  74.60  1.272  7



Record 2
This entry pairs a crystal structure of Be3IrW with its theoretical X-ray diffraction stick pattern. Radiation: a wavelength of 1.5418 Å. Structure: a DFT-relaxed cell (GGA-PBE, Alexandria).
Neutral-atom scattering factors, no anomalous dispersion.

Structure:
a = 4.0620 Å, b = 4.0620 Å, c = 4.0620 Å
α = 90.00°, β = 90.00°, γ = 90.00°
Space group Pm-3m (No. 221)
Unique sites:
Be (0.0000, 0.0000, 0.5000) [3 per cell]
Ir (0.0000, 0.0000, 0.0000) [1 per cell]
W (0.5000, 0.5000, 0.5000) [1 per cell]

Most intense lines, 2θ = 10–80°, low angle first:
hkl  2θ/deg  d (Å)  intensity
1 1 0  31.14  2.872  100
2 0 0  44.61  2.031  21
2 1 1  55.41  1.658  40
2 2 0  64.93  1.436  14
3 1 0  73.76  1.285  17



Record 3
This entry pairs a crystal structure of Be4IrW with its theoretical X-ray diffraction stick pattern. Radiation: a wavelength of 1.5418 Å. Structure: a DFT-relaxed cell (GGA-PBE, Alexandria).
Neutral-atom scattering factors, no anomalous dispersion.

Structure:
a = 6.2377 Å, b = 6.2377 Å, c = 6.2377 Å
α = 90.00°, β = 90.00°, γ = 90.00°
Space group F-43m (No. 216)
Unique sites:
Be (0.1217, 0.1217, 0.3783) [16 per cell]
Ir (0.0000, 0.0000, 0.0000) [4 per cell]
W (0.2500, 0.2500, 0.7500) [4 per cell]

Most intense lines, 2θ = 10–80°, low angle first:
hkl  2θ/deg  d (Å)  intensity
1 1 1  24.72  3.601  100
2 2 0  40.92  2.205  90
3 1 1  48.40  1.881  61
4 0 0  59.26  1.559  14
3 3 1  65.19  1.431  21
4 2 2  74.53  1.273  32
5 1 1  79.91  1.200  19



Record 4
This entry pairs a crystal structure of Y2Be4Ir5 with its theoretical X-ray diffraction stick pattern. Radiation: a wavelength of 1.5418 Å. Structure: a DFT-relaxed cell (GGA-PBE, Alexandria).
Neutral-atom scattering factors, no anomalous dispersion.

Structure:
a = 5.6783 Å, b = 9.4171 Å, c = 12.4261 Å
α = 90.00°, β = 90.00°, γ = 90.00°
Space group Fmmm (No. 69)
Unique sites:
Y (0.0000, 0.0000, 0.1355) [8 per cell]
Be (0.0000, 0.1586, 0.3680) [16 per cell]
Ir (0.0000, 0.0000, 0.5000) [4 per cell]
Ir (0.2500, 0.2500, 0.0000) [8 per cell]
Ir (0.2500, 0.2500, 0.2500) [8 per cell]

Most intense lines, 2θ = 10–80°, low angle first:
hkl  2θ/deg  d (Å)  intensity
0 2 0  18.85  4.709  33
1 1 3  28.30  3.153  35
0 0 4  28.74  3.107  43
0 2 4  34.59  2.593  51
2 2 0  36.97  2.431  100
0 4 0  38.23  2.354  45
2 0 4  43.17  2.096  30
2 2 4  47.49  1.915  49
0 4 4  48.52  1.876  23
2 2 8  72.17  1.309  27



What did the second record say?
This entry pairs a crystal structure of Be3IrW with its theoretical X-ray diffraction stick pattern. Radiation: a wavelength of 1.5418 Å. Structure: a DFT-relaxed cell (GGA-PBE, Alexandria).
Neutral-atom scattering factors, no anomalous dispersion.

Structure:
a = 4.0620 Å, b = 4.0620 Å, c = 4.0620 Å
α = 90.00°, β = 90.00°, γ = 90.00°
Space group Pm-3m (No. 221)
Unique sites:
Be (0.0000, 0.0000, 0.5000) [3 per cell]
Ir (0.0000, 0.0000, 0.0000) [1 per cell]
W (0.5000, 0.5000, 0.5000) [1 per cell]

Most intense lines, 2θ = 10–80°, low angle first:
hkl  2θ/deg  d (Å)  intensity
1 1 0  31.14  2.872  100
2 0 0  44.61  2.031  21
2 1 1  55.41  1.658  40
2 2 0  64.93  1.436  14
3 1 0  73.76  1.285  17